No. 1
For BaNpRh4, a PBE-relaxed structure gives the calculated powder X-ray diffraction pattern in this record (Cu Ka).
Neutral-atom scattering factors, no anomalous dispersion.

Atomic structure:
Cell: 5.4463 5.4463 5.4463 Å, 60.00 60.00 60.00°
Atoms (fractional coordinates):
Ba 0.0000 0.0000 0.0000
Np 0.7500 0.7500 0.7500
Rh 0.3759 0.3759 0.3759
Rh 0.3759 0.3759 0.8722
Rh 0.3759 0.8722 0.3759
Rh 0.8722 0.3759 0.3759

Principal peaks in the range 2θ = 10–90°, sorted by position:
2θ = 19.97°, d 4.447, intensity 5; 2θ = 32.89°, d 2.723, intensity 46; 2θ = 38.78°, d 2.322, intensity 100; 2θ = 40.57°, d 2.223, intensity 25; 2θ = 58.73°, d 1.572, intensity 18; 2θ = 62.68°, d 1.482, intensity 33; 2θ = 68.97°, d 1.362, intensity 25; 2θ = 78.55°, d 1.218, intensity 8; 2θ = 82.04°, d 1.175, intensity 12; 2θ = 83.20°, d 1.161, intensity 9

---

No. 2
For BaNpRhSe3, a PBE-relaxed structure gives the calculated powder X-ray diffraction pattern in this record (Cu Ka).
Neutral-atom scattering factors, no anomalous dispersion.

Atomic structure:
Cell: 8.7696 4.2130 9.3201 Å, 90.00 105.71 90.00°
Atoms (fractional coordinates):
Ba 0.1889 0.2500 0.2460
Ba 0.8111 0.7500 0.7540
Np 0.3215 0.7500 0.8410
Np 0.6785 0.2500 0.1590
Rh 0.0890 0.2500 0.5869
Rh 0.9110 0.7500 0.4131
Se 0.1134 0.2500 0.8712
Se 0.2092 0.7500 0.5281
Se 0.4490 0.7500 0.1648
Se 0.5510 0.2500 0.8352
Se 0.7908 0.2500 0.4719
Se 0.8866 0.7500 0.1288

Principal peaks in the range 2θ = 10–90°, sorted by position:
2θ = 12.30°, d 7.197, intensity 86; 2θ = 29.71°, d 3.007, intensity 68; 2θ = 29.94°, d 2.985, intensity 100; 2θ = 34.42°, d 2.606, intensity 18; 2θ = 36.00°, d 2.495, intensity 41; 2θ = 39.35°, d 2.290, intensity 17; 2θ = 41.20°, d 2.191, intensity 17; 2θ = 42.93°, d 2.107, intensity 32; 2θ = 45.73°, d 1.984, intensity 23; 2θ = 47.71°, d 1.906, intensity 21

---

No. 3
For Ba3Np2S9, a PBE-relaxed structure gives the calculated powder X-ray diffraction pattern in this record (Cu Ka).
Neutral-atom scattering factors, no anomalous dispersion.

Atomic structure:
Cell: 9.1650 9.1650 9.1650 Å, 82.41 82.41 82.41°
Atoms (fractional coordinates):
Ba 0.0852 0.7500 0.4148
Ba 0.2500 0.5852 0.9148
Ba 0.4148 0.0852 0.7500
Ba 0.5852 0.9148 0.2500
Ba 0.7500 0.4148 0.0852
Ba 0.9148 0.2500 0.5852
Np 0.1545 0.1545 0.1545
Np 0.3455 0.3455 0.3455
Np 0.6545 0.6545 0.6545
Np 0.8455 0.8455 0.8455
S 0.0823 0.2627 0.9103
S 0.0840 0.4160 0.2500
S 0.0897 0.9177 0.7373
S 0.2373 0.4177 0.5897
S 0.2500 0.0840 0.4160
S 0.2627 0.9103 0.0823
S 0.4103 0.7627 0.5823
S 0.4160 0.2500 0.0840
S 0.4177 0.5897 0.2373
S 0.5823 0.4103 0.7627
S 0.5840 0.7500 0.9160
S 0.5897 0.2373 0.4177
S 0.7373 0.0897 0.9177
S 0.7500 0.9160 0.5840
S 0.7627 0.5823 0.4103
S 0.9103 0.0823 0.2627
S 0.9160 0.5840 0.7500
S 0.9177 0.7373 0.0897

Principal peaks in the range 2θ = 10–90°, sorted by position:
2θ = 14.67°, d 6.037, intensity 57; 2θ = 20.96°, d 4.238, intensity 33; 2θ = 21.65°, d 4.104, intensity 31; 2θ = 25.56°, d 3.486, intensity 100; 2θ = 30.21°, d 2.959, intensity 25; 2θ = 33.28°, d 2.692, intensity 64; 2θ = 33.58°, d 2.668, intensity 58; 2θ = 42.67°, d 2.119, intensity 52; 2θ = 50.40°, d 1.811, intensity 33; 2θ = 52.51°, d 1.743, intensity 31